Calculated powder diffractogram of NbTlPdRh2 for Cu Kα, 1.54184 Å, from a cell relaxed with PBE.
Kinematic intensities with the Lorentz-polarization factor, no thermal factor.

Top 12 peaks for 2θ from 5° to 70°, low angle first:
index	two_theta	I (rel.)
0 0 1	17.33	36
1 0 0	18.20	53
1 0 1	25.23	63
1 1 0	25.85	24
1 1 1	31.29	39
0 0 2	35.07	57
2 0 0	36.88	100
2 0 1	41.02	17
2 1 1	45.21	27
2 0 2	51.80	75
2 2 0	53.15	35
2 2 2	65.27	37

Structure:
a = 4.8743 Å, b = 4.8743 Å, c = 5.1182 Å
α = 90.00°, β = 90.00°, γ = 90.00°
Space group P4/mmm (No. 123)
Asymmetric unit:
1 Nb 0.0000 0.0000 0.0000
2 Tl 0.0000 0.0000 0.5000
3 Pd 0.5000 0.5000 0.0000
4 Rh 0.0000 0.5000 0.5000